Entry 1:
Starting from the PBE+U geometry in Alexandria, the X-ray powder pattern of Li4MnCo2O7 was simulated for Cu Kα (λ = 1.5418 Å).

Principal peaks in the range 2θ from 5° to 70°, low angle first:
2theta, Rel. int., index
8.4, 142, 0 0 1
18.3, 1000, 0 1 2
35.6, 127, 1 1 -1
36.4, 118, 1 -1 2
36.5, 127, 0 3 -1
42.6, 284, 1 0 -3
43.9, 260, 1 0 4
44.6, 248, 0 4 1
61.8, 73, 0 0 7
63.8, 71, 2 0 1

```
data_Li4MnCo2O7
_symmetry_space_group_name_H-M 'P 1'
_symmetry_Int_Tables_number 1
_symmetry_space_group_name_Hall 'P 1'
_cell_length_a 2.919
_cell_length_b 8.135
_cell_length_c 10.788
_cell_angle_alpha 78.45
_cell_angle_beta 83.79
_cell_angle_gamma 89.89
loop_
_atom_site_label
_atom_site_fract_x
_atom_site_fract_y
_atom_site_fract_z
Li1 0.000 0.000 0.000
Li2 0.008 0.501 0.018
Li3 0.124 0.067 0.715
Li4 0.309 0.649 0.405
Li5 0.427 0.204 0.148
Li6 0.554 0.802 0.874
Li7 0.697 0.358 0.554
Li8 0.886 0.930 0.271
Mn1 0.125 0.579 0.710
Mn2 0.567 0.280 0.855
Co1 0.262 0.141 0.426
Co2 0.441 0.736 0.132
Co3 0.684 0.857 0.568
Co4 0.865 0.431 0.282
O1 0.001 0.746 0.003
O2 0.021 0.266 0.973
O3 0.120 0.335 0.723
O4 0.132 0.817 0.695
O5 0.232 0.885 0.448
O6 0.247 0.392 0.422
O7 0.437 0.956 0.143
O8 0.465 0.463 0.151
O9 0.570 0.061 0.848
O10 0.575 0.541 0.833
O11 0.673 0.611 0.586
O12 0.685 0.094 0.561
O13 0.849 0.186 0.292
O14 0.870 0.667 0.273
```



Entry 2:
Starting from the PBE+U geometry in Alexandria, the X-ray powder pattern of Li7Mn2Co3O12 was simulated for Cu Kα (λ = 1.5418 Å).

Principal peaks in the range 2θ from 5° to 70°, low angle first:
2theta, Rel. int., index
7.2, 153, 0 0 1
18.3, 1000, 0 1 -1
35.5, 155, 1 1 2
36.3, 113, 0 1 5
36.5, 119, -1 1 2
42.7, 300, 1 2 1
44.0, 250, 0 0 6
44.2, 268, -1 2 1
62.7, 146, 0 4 2
63.6, 144, 2 0 0

```
data_Li7Mn2Co3O12
_symmetry_space_group_name_H-M 'P 1'
_symmetry_Int_Tables_number 1
_symmetry_space_group_name_Hall 'P 1'
_cell_length_a 2.929
_cell_length_b 5.930
_cell_length_c 12.664
_cell_angle_alpha 77.23
_cell_angle_beta 89.18
_cell_angle_gamma 88.04
loop_
_atom_site_label
_atom_site_fract_x
_atom_site_fract_y
_atom_site_fract_z
Li1 0.000 0.000 0.000
Li2 0.002 0.687 0.650
Li3 0.005 0.329 0.333
Li4 0.490 0.163 0.166
Li5 0.496 0.500 0.487
Li6 0.508 0.012 0.490
Li7 0.518 0.850 0.820
Mn1 0.478 0.332 0.827
Mn2 0.998 0.509 0.999
Co1 0.002 0.839 0.334
Co2 0.505 0.674 0.164
Co3 0.996 0.166 0.641
O1 0.001 0.259 0.498
O2 0.004 0.759 0.475
O3 0.022 0.454 0.158
O4 0.454 0.267 0.990
O5 0.471 0.609 0.317
O6 0.484 0.402 0.675
O7 0.505 0.932 0.662
O8 0.538 0.067 0.323
O9 0.539 0.747 0.002
O10 0.967 0.554 0.835
O11 0.991 0.887 0.172
O12 0.992 0.115 0.829
```



Entry 3:
Starting from the PBE+U geometry in Alexandria, the X-ray powder pattern of Li7Mn2Co3O12 was simulated for Cu Kα (λ = 1.5418 Å).

Principal peaks in the range 2θ from 5° to 70°, low angle first:
2theta, Rel. int., index
7.7, 232, 0 0 1
18.4, 1000, 0 1 -2
35.0, 148, -1 1 2
36.7, 240, 1 0 2
41.9, 315, 1 0 -4
44.7, 519, 1 -1 4
62.5, 75, 0 1 -8
62.9, 74, 1 3 -4
63.1, 74, -1 3 4
63.3, 77, 2 -1 0

```
data_Li7Mn2Co3O12
_symmetry_space_group_name_H-M 'P 1'
_symmetry_Int_Tables_number 1
_symmetry_space_group_name_Hall 'P 1'
_cell_length_a 2.942
_cell_length_b 6.420
_cell_length_c 11.914
_cell_angle_alpha 103.01
_cell_angle_beta 93.51
_cell_angle_gamma 102.69
loop_
_atom_site_label
_atom_site_fract_x
_atom_site_fract_y
_atom_site_fract_z
Li1 0.000 0.000 0.000
Li2 0.012 0.996 0.487
Li3 0.313 0.664 0.326
Li4 0.340 0.664 0.577
Li5 0.402 0.670 0.810
Li6 0.676 0.339 0.160
Li7 0.706 0.352 0.653
Mn1 0.036 0.996 0.734
Mn2 0.699 0.344 0.910
Co1 0.020 0.004 0.240
Co2 0.353 0.673 0.077
Co3 0.674 0.349 0.413
O1 0.144 0.330 0.520
O2 0.168 0.350 0.032
O3 0.186 0.319 0.287
O4 0.223 0.329 0.787
O5 0.495 0.020 0.360
O6 0.516 0.006 0.629
O7 0.539 0.989 0.121
O8 0.569 0.016 0.851
O9 0.820 0.638 0.440
O10 0.823 0.665 0.966
O11 0.883 0.695 0.703
O12 0.884 0.687 0.187
```



Entry 4:
Starting from the PBE+U geometry in Alexandria, the X-ray powder pattern of Li3MnCoO5 was simulated for Cu Kα (λ = 1.5418 Å).

Principal peaks in the range 2θ from 5° to 70°, low angle first:
2theta, Rel. int., index
12.3, 128, 0 2 0
18.4, 1000, 0 0 1
19.8, 98, 1 1 0
36.5, 385, 2 0 -1
44.0, 287, 2 0 -2
44.1, 569, 1 5 1
48.1, 89, 1 5 -2
58.0, 95, 1 5 2
63.5, 154, 1 5 -3
64.6, 233, 3 5 -1

```
data_Li3MnCoO5
_symmetry_space_group_name_H-M 'C 1 2 1'
_symmetry_Int_Tables_number 5
_symmetry_space_group_name_Hall 'C 2y'
_cell_length_a 5.000
_cell_length_b 14.426
_cell_length_c 5.099
_cell_angle_alpha 90.00
_cell_angle_beta 109.27
_cell_angle_gamma 90.00
loop_
_atom_site_label
_atom_site_fract_x
_atom_site_fract_y
_atom_site_fract_z
Li1 0.000 0.000 0.000
Li2 0.000 0.094 0.500
Li3 0.000 0.298 0.500
Li4 0.000 0.500 0.500
Li5 0.000 0.696 0.500
Li6 0.000 0.904 0.500
Mn1 0.000 0.596 0.000
Mn2 0.000 0.800 0.000
Co1 0.000 0.197 0.000
Co2 0.000 0.401 0.000
O1 0.223 0.501 0.237
O2 0.237 0.889 0.231
O3 0.243 0.697 0.217
O4 0.248 0.605 0.780
O5 0.249 0.296 0.220
```



Entry 5:
Starting from the PBE+U geometry in Alexandria, the X-ray powder pattern of Li7Mn2Co3O12 was simulated for Cu Kα (λ = 1.5418 Å).

Principal peaks in the range 2θ from 5° to 70°, low angle first:
2theta, Rel. int., index
6.1, 226, 0 0 1
12.3, 79, 0 0 2
18.5, 1000, 0 0 3
34.6, 194, 1 1 0
36.6, 120, 1 -1 1
36.7, 112, 0 2 2
41.6, 340, 1 1 -3
44.5, 274, 1 -1 4
44.8, 260, 0 2 5
62.5, 245, 2 0 1

```
data_Li7Mn2Co3O12
_symmetry_space_group_name_H-M 'P -1'
_symmetry_Int_Tables_number 2
_symmetry_space_group_name_Hall '-P 1'
_cell_length_a 2.977
_cell_length_b 5.008
_cell_length_c 14.591
_cell_angle_alpha 81.87
_cell_angle_beta 85.99
_cell_angle_gamma 86.97
loop_
_atom_site_label
_atom_site_fract_x
_atom_site_fract_y
_atom_site_fract_z
Li1 0.000 0.000 0.000
Li2 0.064 0.413 0.844
Li3 0.246 0.246 0.498
Li4 0.428 0.077 0.156
Mn1 0.343 0.665 0.331
Co1 0.155 0.835 0.669
Co2 0.500 0.500 0.000
O1 0.013 0.683 0.929
O2 0.094 0.120 0.747
O3 0.224 0.551 0.591
O4 0.271 0.955 0.408
O5 0.411 0.369 0.256
O6 0.458 0.759 0.075
```



Entry 6:
Starting from the PBE+U geometry in Alexandria, the X-ray powder pattern of Li4MnCo2O7 was simulated for Cu Kα (λ = 1.5418 Å).

Principal peaks in the range 2θ from 5° to 70°, low angle first:
2theta, Rel. int., index
18.5, 1000, 0 1 -1
36.1, 132, 1 2 2
36.6, 117, 2 0 1
37.0, 116, -1 1 2
43.5, 273, 1 3 1
44.2, 256, 2 -1 2
44.8, 246, 1 0 -3
48.2, 79, 2 2 -1
63.6, 70, 1 -4 1
63.7, 72, 2 3 -2

```
data_Li4MnCo2O7
_symmetry_space_group_name_H-M 'P 1'
_symmetry_Int_Tables_number 1
_symmetry_space_group_name_Hall 'P 1'
_cell_length_a 4.991
_cell_length_b 6.582
_cell_length_c 7.637
_cell_angle_alpha 85.76
_cell_angle_beta 76.50
_cell_angle_gamma 81.71
loop_
_atom_site_label
_atom_site_fract_x
_atom_site_fract_y
_atom_site_fract_z
Li1 0.000 0.000 0.000
Li2 0.061 0.866 0.350
Li3 0.207 0.575 0.068
Li4 0.342 0.265 0.795
Li5 0.490 0.999 0.505
Li6 0.652 0.723 0.206
Li7 0.796 0.419 0.934
Li8 0.936 0.129 0.659
Mn1 0.424 0.135 0.142
Mn2 0.707 0.569 0.577
Co1 0.140 0.725 0.723
Co2 0.276 0.425 0.431
Co3 0.569 0.858 0.860
Co4 0.850 0.281 0.287
O1 0.024 0.426 0.661
O2 0.108 0.280 0.058
O3 0.162 0.147 0.378
O4 0.268 0.988 0.756
O5 0.343 0.871 0.103
O6 0.393 0.703 0.486
O7 0.469 0.592 0.815
O8 0.526 0.407 0.198
O9 0.596 0.310 0.528
O10 0.655 0.128 0.905
O11 0.729 0.024 0.253
O12 0.818 0.831 0.619
O13 0.892 0.715 0.944
O14 0.954 0.549 0.337
```



Entry 7:
Starting from the PBE+U geometry in Alexandria, the X-ray powder pattern of Li4MnCo2O7 was simulated for Cu Kα (λ = 1.5418 Å).

Principal peaks in the range 2θ from 5° to 70°, low angle first:
2theta, Rel. int., index
9.9, 120, 0 0 1
18.2, 1000, 4 0 -1
35.4, 149, 2 0 3
36.2, 222, 1 1 -2
42.9, 252, 6 0 2
43.7, 523, 5 1 -3
47.6, 82, 7 1 0
57.3, 106, 9 1 -4
62.7, 122, 11 1 -1
63.0, 129, 1 1 5

```
data_Li4MnCo2O7
_symmetry_space_group_name_H-M 'C 1 2/m 1'
_symmetry_Int_Tables_number 12
_symmetry_space_group_name_Hall '-C 2y'
_cell_length_a 19.605
_cell_length_b 2.888
_cell_length_c 9.858
_cell_angle_alpha 90.00
_cell_angle_beta 114.48
_cell_angle_gamma 90.00
loop_
_atom_site_label
_atom_site_fract_x
_atom_site_fract_y
_atom_site_fract_z
Li1 0.000 0.000 0.000
Li2 0.000 0.500 0.500
Li3 0.069 0.000 0.787
Li4 0.128 0.500 0.076
Li5 0.207 0.000 0.357
Mn1 0.218 0.500 0.854
Co1 0.057 0.500 0.265
Co2 0.143 0.000 0.562
O1 0.035 0.500 0.884
O2 0.039 0.000 0.392
O3 0.103 0.000 0.192
O4 0.121 0.500 0.675
O5 0.178 0.500 0.480
O6 0.187 0.000 0.951
O7 0.246 0.500 0.229
```



Entry 8:
Starting from the PBE+U geometry in Alexandria, the X-ray powder pattern of Li7Mn4CoO12 was simulated for Cu Kα (λ = 1.5418 Å).

Principal peaks in the range 2θ from 5° to 70°, low angle first:
2theta, Rel. int., index
5.8, 275, 0 0 1
18.4, 1000, 2 0 0
35.5, 112, 0 0 6
36.2, 244, 1 1 -3
42.9, 271, 2 0 6
43.9, 552, 3 1 -3
57.8, 89, 5 1 -3
62.9, 132, 5 1 3
63.3, 202, 6 0 -6
64.3, 75, 0 2 0

```
data_Li7Mn4CoO12
_symmetry_space_group_name_H-M 'C 1 m 1'
_symmetry_Int_Tables_number 8
_symmetry_space_group_name_Hall 'C -2y'
_cell_length_a 9.793
_cell_length_b 2.897
_cell_length_c 15.359
_cell_angle_alpha 90.00
_cell_angle_beta 99.14
_cell_angle_gamma 90.00
loop_
_atom_site_label
_atom_site_fract_x
_atom_site_fract_y
_atom_site_fract_z
Li1 0.000 0.000 0.000
Li2 0.001 0.500 0.162
Li3 0.243 0.500 0.409
Li4 0.473 0.000 0.483
Li5 0.493 0.500 0.648
Li6 0.496 0.500 0.338
Li7 0.498 0.000 0.831
Mn1 0.248 0.500 0.078
Mn2 0.250 0.000 0.248
Mn3 0.250 0.000 0.914
Mn4 0.250 0.500 0.745
Co1 0.230 0.000 0.559
O1 0.113 0.000 0.458
O2 0.136 0.500 0.278
O3 0.137 0.000 0.120
O4 0.137 0.500 0.955
O5 0.139 0.500 0.634
O6 0.141 0.000 0.791
O7 0.356 0.500 0.199
O8 0.358 0.500 0.539
O9 0.360 0.500 0.870
O10 0.361 0.000 0.036
O11 0.361 0.000 0.354
O12 0.362 0.000 0.714
```